Starting from a structure optimized by DFT (PBE), the powder XRD pattern of PuSc5Ga4 was calculated for Cu Kα, 1.54184 Å.
Peak positions follow from Bragg's law for the DFT cell and can differ from measured ones.

Most intense lines, 2θ from 10° to 90°, by angle:
Position (°2θ)  I (rel.)  h k l
13.71  11  0 0 3
22.95  15  0 0 5
27.71  21  1 0 0
31.05  12  1 0 3
33.43  16  1 0 4
36.28  100  1 0 5
39.60  44  1 1 0
46.91  11  0 0 10
55.37  11  1 0 10
57.25  14  2 0 0
63.01  14  1 1 10
69.69  28  2 1 5

Atomic structure:
Cell lengths 3.2185, 3.2185, 19.3748 Å; angles 90.00, 90.00, 90.00 degrees
Space group P4/mmm (No. 123)
Inequivalent atoms, fractional coordinates:
Pu: 0.0000 0.0000 0.0000 (multiplicity 1)
Sc: 0.5000 0.5000 0.1229 (multiplicity 2)
Sc: 0.5000 0.5000 0.3104 (multiplicity 2)
Sc: 0.5000 0.5000 0.5000 (multiplicity 1)
Ga: 0.0000 0.0000 0.2144 (multiplicity 2)
Ga: 0.0000 0.0000 0.4047 (multiplicity 2)

Starting from a structure optimized by DFT (PBE), the powder XRD pattern of PuSc5Ga3 was calculated for Cu Kα, 1.54184 Å.
Peak positions follow from Bragg's law for the DFT cell and can differ from measured ones.

Most intense lines, 2θ from 10° to 90°, by angle:
Position (°2θ)  I (rel.)  h k l
12.12  84  1 0 0
21.08  17  1 1 0
24.38  23  2 0 0
31.82  22  1 0 2
32.45  19  2 1 0
36.38  100  1 1 2
36.94  87  3 0 0
44.28  17  2 1 2
52.81  33  2 2 2
66.19  33  4 1 2
66.54  17  3 3 0
73.30  22  3 0 4

Atomic structure:
Cell lengths 8.4303, 8.4303, 6.0950 Å; angles 90.00, 90.00, 120.00 degrees
Space group P6_3/mcm (No. 193)
Inequivalent atoms, fractional coordinates:
Pu: 0.0000 0.0000 0.0000 (multiplicity 2)
Sc: 0.0000 0.3249 0.2500 (multiplicity 6)
Sc: 0.3333 0.6667 0.0000 (multiplicity 4)
Ga: 0.0000 0.3471 0.7500 (multiplicity 6)

Starting from a structure optimized by DFT (PBE), the powder XRD pattern of Pu2GaSe6 was calculated for Cu Kα, 1.54184 Å.
Peak positions follow from Bragg's law for the DFT cell and can differ from measured ones.

Most intense lines, 2θ from 10° to 90°, by angle:
Position (°2θ)  I (rel.)  h k l
15.57  19  1 0 1
19.64  100  1 1 0
25.50  43  1 0 3
29.13  39  1 1 3
38.17  94  2 1 3
39.89  32  2 2 0
43.39  18  0 0 6
47.94  50  3 0 3
48.05  20  1 1 6
60.40  19  2 2 6
64.11  21  4 1 3
78.24  21  3 3 6

Atomic structure:
Cell lengths 6.3925, 6.3925, 12.5120 Å; angles 90.00, 90.00, 90.00 degrees
Space group P4_2/mnm (No. 136)
Inequivalent atoms, fractional coordinates:
Pu: 0.0000 0.0000 0.1674 (multiplicity 4)
Ga: 0.0000 0.0000 0.5000 (multiplicity 2)
Se: 0.1922 0.1922 0.3436 (multiplicity 8)
Se: 0.2016 0.2016 0.0000 (multiplicity 4)

Starting from a structure optimized by DFT (PBE), the powder XRD pattern of Pu2Ga2Se5 was calculated for Cu Kα, 1.54184 Å.
Peak positions follow from Bragg's law for the DFT cell and can differ from measured ones.

Most intense lines, 2θ from 10° to 90°, by angle:
Position (°2θ)  I (rel.)  h k l
11.92  100  0 0 1
22.10  81  1 1 -1
23.98  42  0 0 2
26.77  36  3 1 -1
28.29  69  4 0 0
29.88  71  3 1 -2
36.92  58  5 1 -1
37.05  99  3 1 -3
39.62  58  0 2 0
40.88  59  5 1 0
45.41  33  1 1 3
49.39  30  4 2 0

Atomic structure:
Cell lengths 14.6904, 4.5499, 8.6405 Å; angles 90.00, 120.78, 90.00 degrees
Space group C2/m (No. 12)
Inequivalent atoms, fractional coordinates:
Pu: 0.1134 0.0000 0.4619 (multiplicity 4)
Ga: 0.1673 0.5000 0.0083 (multiplicity 4)
Se: 0.0000 0.5000 0.5000 (multiplicity 2)
Se: 0.1250 0.0000 0.8540 (multiplicity 4)
Se: 0.1564 0.5000 0.2850 (multiplicity 4)

Question: What is the formula in the third record?
Answer: Pu2GaSe6